Entry 1:
The following is a simulated X-ray diffraction stick pattern of Mg3Si4. It was derived from DFT lattice parameters and positions (PBE), using a wavelength of 1.5418 Å.
No peak broadening, texture or thermal motion is included.

Main lines, low angle first (10° ≤ 2θ ≤ 90°):
Position (°2θ)  I_rel
31.99  69
35.06  31
35.64  100
37.25  36
37.35  81
40.93  22
44.08  52
45.03  71

Structure:
Unit cell a=16.240 b=4.027 c=8.010 alpha=90.00 beta=90.35 gamma=90.00
Space group Cm (No. 8)
Symmetry-distinct sites (fractional):
Mg (0.000, 0.000, 0.000) [2 per cell]
Mg (0.007, 0.500, 0.690) [2 per cell]
Mg (0.158, 0.000, 0.176) [2 per cell]
Mg (0.213, 0.500, 0.493) [2 per cell]
Mg (0.303, 0.500, 0.060) [2 per cell]
Mg (0.419, 0.500, 0.418) [2 per cell]
Si (0.054, 0.500, 0.333) [2 per cell]
Si (0.088, 0.000, 0.496) [2 per cell]
Si (0.137, 0.500, 0.925) [2 per cell]
Si (0.170, 0.000, 0.750) [2 per cell]
Si (0.301, 0.000, 0.337) [2 per cell]
Si (0.315, 0.000, 0.652) [2 per cell]
Si (0.381, 0.500, 0.755) [2 per cell]
Si (0.424, 0.000, 0.174) [2 per cell]

Entry 2:
The following is a simulated X-ray diffraction stick pattern of Mg2Si3. It was derived from DFT lattice parameters and positions (PBE), using a wavelength of 1.5418 Å.
No peak broadening, texture or thermal motion is included.

Main lines, low angle first (10° ≤ 2θ ≤ 90°):
Position (°2θ)  I_rel
17.35  43
31.63  51
35.62  80
36.55  69
42.02  100
42.29  63
45.26  43
49.54  70

Structure:
Unit cell a=3.679 b=5.286 c=20.149 alpha=89.91 beta=85.10 gamma=89.60
Space group P1 (No. 1)
Symmetry-distinct sites (fractional):
Mg (0.000, 0.000, 0.000) [1 per cell]
Mg (0.093, 0.711, 0.796) [1 per cell]
Mg (0.239, 0.691, 0.508) [1 per cell]
Mg (0.335, 0.562, 0.352) [1 per cell]
Mg (0.431, 0.241, 0.149) [1 per cell]
Mg (0.566, 0.225, 0.861) [1 per cell]
Mg (0.670, 0.943, 0.653) [1 per cell]
Mg (0.862, 0.015, 0.288) [1 per cell]
Si (0.027, 0.490, 0.944) [1 per cell]
Si (0.120, 0.196, 0.750) [1 per cell]
Si (0.214, 0.191, 0.561) [1 per cell]
Si (0.271, 0.175, 0.440) [1 per cell]
Si (0.399, 0.743, 0.212) [1 per cell]
Si (0.457, 0.762, 0.090) [1 per cell]
Si (0.543, 0.739, 0.905) [1 per cell]
Si (0.635, 0.449, 0.713) [1 per cell]
Si (0.698, 0.446, 0.592) [1 per cell]
Si (0.785, 0.903, 0.417) [1 per cell]
Si (0.886, 0.477, 0.241) [1 per cell]
Si (0.971, 0.497, 0.064) [1 per cell]